1.
YMg14CuO16: calculated X-ray powder pattern (Cu Kα (λ = 1.5418 Å)), based on DFT lattice parameters and positions (GGA-PBE).

Top 10 peaks for 2θ from 10° to 90°, by angle:
2θ (°)	I/Imax
14.40	20
20.42	14
25.18	14
29.10	17
35.84	33
41.54	100
41.79	51
60.19	28
60.39	57
75.96	25

a b c (Å): 8.6967 8.6967 4.3228
angles (deg): 90.00 90.00 90.00
Space group P4/mmm (No. 123)
One atom of each set of equivalent atoms:
Y (0.0000, 0.0000, 0.0000) (multiplicity 1)
Mg (0.0000, 0.2649, 0.5000) (multiplicity 4)
Mg (0.0000, 0.5000, 0.0000) (multiplicity 2)
Mg (0.2563, 0.5000, 0.5000) (multiplicity 4)
Mg (0.2617, 0.2617, 0.0000) (multiplicity 4)
Cu (0.5000, 0.5000, 0.0000) (multiplicity 1)
O (0.0000, 0.0000, 0.5000) (multiplicity 1)
O (0.0000, 0.2573, 0.0000) (multiplicity 4)
O (0.0000, 0.5000, 0.5000) (multiplicity 2)
O (0.2340, 0.5000, 0.0000) (multiplicity 4)
O (0.2489, 0.2489, 0.5000) (multiplicity 4)
O (0.5000, 0.5000, 0.5000) (multiplicity 1)

***

2.
VN: calculated X-ray powder pattern (Cu Kα (λ = 1.5418 Å)), based on DFT lattice parameters and positions (GGA-PBE).

Top 5 peaks for 2θ from 10° to 90°, by angle:
2θ (°)	I/Imax
37.77	73
43.90	100
63.82	55
76.61	26
80.69	17

a b c (Å): 4.1249 4.1249 4.1249
angles (deg): 90.00 90.00 90.00
Space group Fm-3m (No. 225)
One atom of each set of equivalent atoms:
V (0.0000, 0.0000, 0.0000) (multiplicity 4)
N (0.0000, 0.0000, 0.5000) (multiplicity 4)

***

3.
LaP5: calculated X-ray powder pattern (Cu Kα (λ = 1.5418 Å)), based on DFT lattice parameters and positions (GGA-PBE).

Top 10 peaks for 2θ from 10° to 90°, by angle:
2θ (°)	I/Imax
18.22	35
18.75	50
23.29	73
26.24	100
28.13	63
28.24	45
32.16	38
33.47	76
34.41	50
43.86	39

a b c (Å): 5.6114 9.7389 9.8302
angles (deg): 90.00 105.38 90.00
Space group P2_1/m (No. 11)
One atom of each set of equivalent atoms:
La (0.1101, 0.2500, 0.4651) (multiplicity 2)
La (0.1384, 0.2500, 0.9870) (multiplicity 2)
P (0.0887, 0.5388, 0.8435) (multiplicity 4)
P (0.1298, 0.5445, 0.3627) (multiplicity 4)
P (0.4167, 0.7500, 0.1393) (multiplicity 2)
P (0.4427, 0.7500, 0.6518) (multiplicity 2)
P (0.4504, 0.5857, 0.8105) (multiplicity 4)
P (0.4744, 0.5944, 0.3111) (multiplicity 4)

***

4.
MgCuN: calculated X-ray powder pattern (Cu Kα (λ = 1.5418 Å)), based on DFT lattice parameters and positions (GGA-PBE).

Top 10 peaks for 2θ from 10° to 90°, by angle:
2θ (°)	I/Imax
22.33	57
28.24	26
30.30	64
36.29	54
37.96	100
45.56	28
51.29	37
55.70	21
67.76	17
71.01	27

a b c (Å): 3.9818 3.3352 6.3201
angles (deg): 90.00 90.00 90.00
Space group Amm2 (No. 38)
One atom of each set of equivalent atoms:
Mg (0.0000, 0.0000, 0.0000) (multiplicity 2)
Cu (0.5000, 0.0000, 0.3241) (multiplicity 2)
N (0.5000, 0.0000, 0.0183) (multiplicity 2)

***

5.
HoCuP2: calculated X-ray powder pattern (Cu Kα (λ = 1.5418 Å)), based on DFT lattice parameters and positions (GGA-PBE).

Top 10 peaks for 2θ from 10° to 90°, by angle:
2θ (°)	I/Imax
25.70	75
36.87	40
37.08	20
39.02	100
49.09	30
53.29	15
56.22	18
62.94	17
63.08	16
85.02	21

a b c (Å): 3.7120 3.7120 9.6988
angles (deg): 90.00 90.00 90.00
Space group P4/nmm (No. 129, origin choice 2)
One atom of each set of equivalent atoms:
Ho (0.2500, 0.2500, 0.2316) (multiplicity 2)
Cu (0.2500, 0.7500, 0.5000) (multiplicity 2)
P (0.2500, 0.2500, 0.6570) (multiplicity 2)
P (0.2500, 0.7500, 0.0000) (multiplicity 2)

***

6.
NdB4Rh7: calculated X-ray powder pattern (Cu Kα (λ = 1.5418 Å)), based on DFT lattice parameters and positions (GGA-PBE).

Top 10 peaks for 2θ from 10° to 90°, by angle:
2θ (°)	I/Imax
35.91	59
37.26	100
44.94	38
48.94	19
59.75	26
66.32	11
67.18	12
76.13	24
78.61	12
79.43	10

a b c (Å): 2.9240 9.6561 5.5703
angles (deg): 90.00 90.00 90.00
Space group Pmm2 (No. 25)
One atom of each set of equivalent atoms:
Nd (0.0000, 0.0000, 0.0000) (multiplicity 1)
B (0.0000, 0.1673, 0.4995) (multiplicity 2)
B (0.0000, 0.3335, 0.0007) (multiplicity 2)
Rh (0.0000, 0.5000, 0.4997) (multiplicity 1)
Rh (0.5000, 0.0000, 0.4991) (multiplicity 1)
Rh (0.5000, 0.2566, 0.7450) (multiplicity 2)
Rh (0.5000, 0.2596, 0.2585) (multiplicity 2)
Rh (0.5000, 0.5000, 0.9944) (multiplicity 1)

***

7.
TeMoWSeS2: calculated X-ray powder pattern (Cu Kα (λ = 1.5418 Å)), based on DFT lattice parameters and positions (GGA-PBE).

Top 10 peaks for 2θ from 10° to 90°, by angle:
2θ (°)	I/Imax
11.72	100
14.08	21
31.25	43
33.45	12
35.48	17
36.70	75
38.04	20
44.43	40
46.24	15
55.57	30

a b c (Å): 3.3084 3.3084 37.7381
angles (deg): 90.00 90.00 120.00
Space group P3m1 (No. 156)
One atom of each set of equivalent atoms:
Te (0.0000, 0.0000, 0.0000) (multiplicity 1)
Te (0.0000, 0.0000, 0.1018) (multiplicity 1)
Mo (0.0000, 0.0000, 0.2389) (multiplicity 1)
Mo (0.6667, 0.3333, 0.6752) (multiplicity 1)
W (0.0000, 0.0000, 0.8631) (multiplicity 1)
W (0.6667, 0.3333, 0.0509) (multiplicity 1)
Se (0.6667, 0.3333, 0.1945) (multiplicity 1)
Se (0.6667, 0.3333, 0.2832) (multiplicity 1)
S (0.0000, 0.0000, 0.6346) (multiplicity 1)
S (0.0000, 0.0000, 0.7158) (multiplicity 1)
S (0.6667, 0.3333, 0.8225) (multiplicity 1)
S (0.6667, 0.3333, 0.9037) (multiplicity 1)

***

8.
Sr2ZnReO6: calculated X-ray powder pattern (Cu Kα (λ = 1.5418 Å)), based on DFT lattice parameters and positions (GGA-PBE).

Top 10 peaks for 2θ from 10° to 90°, by angle:
2θ (°)	I/Imax
19.17	30
31.48	100
31.70	52
37.31	10
44.79	17
45.45	30
55.91	21
56.33	41
65.72	19
75.29	10

a b c (Å): 5.6445 5.6445 8.0940
angles (deg): 90.00 90.00 90.00
Space group I4/m (No. 87)
One atom of each set of equivalent atoms:
Sr (0.0000, 0.5000, 0.2500) (multiplicity 4)
Zn (0.0000, 0.0000, 0.0000) (multiplicity 2)
Re (0.0000, 0.0000, 0.5000) (multiplicity 2)
O (0.0000, 0.0000, 0.2598) (multiplicity 4)
O (0.2023, 0.2772, 0.5000) (multiplicity 8)

***

9.
CrFe3As2: calculated X-ray powder pattern (Cu Kα (λ = 1.5418 Å)), based on DFT lattice parameters and positions (GGA-PBE).

Top 10 peaks for 2θ from 10° to 90°, by angle:
2θ (°)	I/Imax
34.59	27
37.74	58
44.91	21
46.09	100
49.73	53
51.70	10
69.23	21
72.98	16
89.27	11
89.94	10

a b c (Å): 3.6668 3.6668 6.0550
angles (deg): 90.00 90.00 90.00
Space group P-4m2 (No. 115)
One atom of each set of equivalent atoms:
Cr (0.0000, 0.0000, 0.0000) (multiplicity 1)
Fe (0.0000, 0.5000, 0.3241) (multiplicity 2)
Fe (0.5000, 0.5000, 0.0000) (multiplicity 1)
As (0.0000, 0.5000, 0.7270) (multiplicity 2)

***

10.
Pr2Te2O7: calculated X-ray powder pattern (Cu Kα (λ = 1.5418 Å)), based on DFT lattice parameters and positions (GGA-PBE).

Top 10 peaks for 2θ from 10° to 90°, by angle:
2θ (°)	I/Imax
28.02	100
32.46	32
35.47	2
46.57	50
55.23	45
57.91	10
67.98	7
75.06	18
77.37	14
86.42	15

a b c (Å): 11.0320 11.0320 11.0320
angles (deg): 90.00 90.00 90.00
Space group Fd-3m (No. 227, origin choice 2)
One atom of each set of equivalent atoms:
Pr (0.0000, 0.0000, 0.0000) (multiplicity 16)
Te (0.0000, 0.0000, 0.5000) (multiplicity 16)
O (0.0917, 0.3750, 0.8750) (multiplicity 48)
O (0.1250, 0.1250, 0.1250) (multiplicity 8)

***

11.
CuSb2O4: calculated X-ray powder pattern (Cu Kα (λ = 1.5418 Å)), based on DFT lattice parameters and positions (GGA-PBE).

Top 10 peaks for 2θ from 10° to 90°, by angle:
2θ (°)	I/Imax
19.85	11
26.94	100
28.22	17
31.63	27
33.55	10
36.52	21
44.50	28
51.29	9
51.86	16
53.44	22

a b c (Å): 8.9456 8.9456 5.8925
angles (deg): 90.00 90.00 90.00
Space group P4_2bc (No. 106)
One atom of each set of equivalent atoms:
Cu (0.0000, 0.5000, 0.0000) (multiplicity 4)
Sb (0.1531, 0.1896, 0.2389) (multiplicity 8)
O (0.0899, 0.3794, 0.7510) (multiplicity 8)
O (0.1844, 0.7091, 0.0070) (multiplicity 8)